Entry 1:
# FeSb2O4
Simulated powder diffractogram, CuKα. Input: a GGA+U-relaxed structure.

Cell and atoms:
Cell lengths 8.5722, 8.5722, 6.6136 Å; angles 90.00, 90.00, 90.00 degrees
Space group P4_2/m (No. 84)
Asymmetric unit:
Fe (0.0000, 0.5000, 0.2393) (multiplicity 4)
Sb (0.0612, 0.8080, 0.5000) (multiplicity 4)
Sb (0.2964, 0.3204, 0.5000) (multiplicity 4)
O (0.1160, 0.6059, 0.0000) (multiplicity 4)
O (0.1234, 0.2652, 0.2987) (multiplicity 8)
O (0.1338, 0.5930, 0.5000) (multiplicity 4)

Main lines, sorted by position (2θ from 5° to 70°):
10.32 deg, I = 172, (1 0 0)
19.87 deg, I = 201, (1 1 1)
24.75 deg, I = 148, (2 0 1)
26.90 deg, I = 1000, (2 1 1)
33.05 deg, I = 197, (1 3 0)
34.24 deg, I = 210, (2 0 2)
35.81 deg, I = 254, (3 1 1)
37.84 deg, I = 128, (3 2 0)
47.07 deg, I = 202, (2 3 2)
47.58 deg, I = 175, (2 1 3)

Entry 2:
# FeSb2O6
Simulated powder diffractogram, CuKα. Input: a GGA+U-relaxed structure.

Cell and atoms:
Cell lengths 4.7533, 4.7533, 9.4842 Å; angles 90.00, 90.00, 90.00 degrees
Space group P4_2/mnm (No. 136)
Asymmetric unit:
Fe (0.0000, 0.0000, 0.0000) (multiplicity 2)
Sb (0.0000, 0.0000, 0.3321) (multiplicity 4)
O (0.1878, 0.1878, 0.5000) (multiplicity 4)
O (0.1992, 0.1992, 0.1736) (multiplicity 8)

Main lines, sorted by position (2θ from 5° to 70°):
20.90 deg, I = 141, (1 0 1)
26.52 deg, I = 1000, (1 1 0)
34.06 deg, I = 753, (1 0 3)
37.86 deg, I = 204, (2 0 0)
51.83 deg, I = 663, (2 1 3)
54.61 deg, I = 173, (2 2 0)
58.38 deg, I = 78, (0 0 6)
61.71 deg, I = 139, (3 1 0)
65.22 deg, I = 145, (1 1 6)
65.95 deg, I = 213, (3 0 3)

Entry 3:
# FeSb2O4
Simulated powder diffractogram, CuKα. Input: a GGA+U-relaxed structure.

Cell and atoms:
Cell lengths 8.7720, 8.7720, 6.0610 Å; angles 90.00, 90.00, 90.00 degrees
Space group P4_2/mbc (No. 135)
Asymmetric unit:
Fe (0.0000, 0.5000, 0.2500) (multiplicity 4)
Sb (0.1672, 0.1775, 0.0000) (multiplicity 8)
O (0.0996, 0.3607, 0.5000) (multiplicity 8)
O (0.1791, 0.6791, 0.2500) (multiplicity 8)

Main lines, sorted by position (2θ from 5° to 70°):
20.25 deg, I = 154, (2 0 0)
27.08 deg, I = 1000, (2 1 1)
28.79 deg, I = 152, (2 2 0)
29.47 deg, I = 110, (0 0 2)
32.27 deg, I = 211, (3 1 0)
36.02 deg, I = 228, (2 0 2)
45.17 deg, I = 347, (4 1 1)
50.84 deg, I = 174, (2 1 3)
53.66 deg, I = 238, (3 3 2)
63.50 deg, I = 121, (4 1 3)

Entry 4:
# FeSb2O4
Simulated powder diffractogram, CuKα. Input: a GGA+U-relaxed structure.

Cell and atoms:
Cell lengths 5.8781, 8.8026, 8.7609 Å; angles 90.00, 91.69, 90.00 degrees
Space group P2_1/c (No. 14)
Asymmetric unit:
Fe (0.2270, 0.0005, 0.4974) (multiplicity 4)
Sb (0.0173, 0.1721, 0.8346) (multiplicity 4)
Sb (0.4880, 0.6684, 0.3193) (multiplicity 4)
O (0.0127, 0.6048, 0.1520) (multiplicity 4)
O (0.2444, 0.1841, 0.6668) (multiplicity 4)
O (0.2540, 0.6610, 0.8112) (multiplicity 4)
O (0.4969, 0.1401, 0.4025) (multiplicity 4)

Main lines, sorted by position (2θ from 5° to 70°):
27.01 deg, I = 960, (1 1 -2)
27.12 deg, I = 1000, (1 2 -1)
27.46 deg, I = 929, (1 2 1)
27.69 deg, I = 846, (1 1 2)
28.76 deg, I = 550, (0 2 2)
32.17 deg, I = 434, (0 3 1)
32.31 deg, I = 409, (0 1 3)
36.78 deg, I = 391, (2 2 0)
53.64 deg, I = 455, (2 3 -3)
54.79 deg, I = 392, (2 3 3)

Entry 5:
# FeSbO4
Simulated powder diffractogram, CuKα. Input: a GGA+U-relaxed structure.

Cell and atoms:
Cell lengths 6.5302, 6.7839, 3.1228 Å; angles 90.00, 90.00, 90.00 degrees
Space group Cmmm (No. 65)
Asymmetric unit:
Fe (0.0000, 0.0000, 0.0000) (multiplicity 2)
Sb (0.0000, 0.5000, 0.5000) (multiplicity 2)
O (0.0000, 0.3072, 0.0000) (multiplicity 4)
O (0.1957, 0.0000, 0.5000) (multiplicity 4)

Main lines, sorted by position (2θ from 5° to 70°):
18.86 deg, I = 344, (1 1 0)
26.27 deg, I = 742, (0 2 0)
27.31 deg, I = 666, (2 0 0)
34.47 deg, I = 1000, (1 1 1)
38.26 deg, I = 257, (2 2 0)
39.21 deg, I = 199, (0 2 1)
51.85 deg, I = 468, (1 3 1)
53.03 deg, I = 430, (3 1 1)
54.07 deg, I = 121, (0 4 0)
66.75 deg, I = 279, (3 3 1)

Entry 6:
# FeSb2O4
Simulated powder diffractogram, CuKα. Input: a GGA+U-relaxed structure.

Cell and atoms:
Cell lengths 8.1255, 8.1255, 5.8389 Å; angles 90.00, 90.00, 90.00 degrees
Space group P4_2/m (No. 84)
Asymmetric unit:
Fe (0.0000, 0.5000, 0.2302) (multiplicity 4)
Sb (0.1378, 0.1643, 0.5000) (multiplicity 4)
Sb (0.3418, 0.6507, 0.5000) (multiplicity 4)
O (0.0917, 0.6304, 0.5000) (multiplicity 4)
O (0.1403, 0.6074, 0.0000) (multiplicity 4)
O (0.1671, 0.3317, 0.2409) (multiplicity 8)

Main lines, sorted by position (2θ from 5° to 70°):
28.94 deg, I = 1000, (1 2 1)
30.62 deg, I = 108, (0 0 2)
34.46 deg, I = 149, (1 1 2)
34.92 deg, I = 241, (3 1 0)
37.95 deg, I = 102, (2 0 2)
48.77 deg, I = 117, (1 4 1)
53.40 deg, I = 175, (2 1 3)
55.08 deg, I = 144, (4 0 2)
57.56 deg, I = 178, (3 3 2)
63.72 deg, I = 170, (0 0 4)